Diffraction record for Tb4PmZn. The powder XRD pattern is calculated, not measured: it uses a DFT-relaxed cell (PBE, Alexandria) and CuKα.
Lines closer than 0.1° are merged.

Atomic structure:
```
Tb4PmZn
1.0
3.5870 0.0000 0.0000
0.0000 3.5870 0.0000
0.0000 0.0000 13.7387
Tb Pm Zn
4 1 1
direct
0.0000 0.0000 0.1288
0.0000 0.0000 0.8712
0.5000 0.5000 0.3144
0.5000 0.5000 0.6856
0.0000 0.0000 0.5000
0.5000 0.5000 0.0000
```

Most intense lines, 10° ≤ 2θ ≤ 90°, sorted by position:
d/Å  2theta  Rel. int.
3.180  28.1  19
2.824  31.7  100
2.748  32.6  13
2.536  35.4  47
1.864  48.9  16
1.794  50.9  17
1.700  53.9  10
1.549  59.7  14
1.514  61.2  30
1.172  82.2  12

---

Diffraction record for Tb9Pm4Zn11. The powder XRD pattern is calculated, not measured: it uses a DFT-relaxed cell (PBE, Alexandria) and CuKα.
Lines closer than 0.1° are merged.

Atomic structure:
```
Tb9Pm4Zn11
1.0
7.7222 -10.6708 0.0000
7.7222 10.6708 0.0000
0.0000 0.0000 3.4989
Tb Pm Zn
9 4 11
direct
0.0000 0.0000 0.0000
0.1199 0.6489 0.0000
0.2946 0.4813 0.0000
0.3511 0.8801 0.0000
0.4813 0.2946 0.0000
0.5187 0.7054 0.0000
0.6489 0.1199 0.0000
0.7054 0.5187 0.0000
0.8801 0.3511 0.0000
0.0820 0.2551 0.0000
0.2551 0.0820 0.0000
0.7449 0.9180 0.0000
0.9180 0.7449 0.0000
0.0854 0.4512 0.5000
0.1316 0.8684 0.5000
0.2904 0.2904 0.5000
0.3211 0.6789 0.5000
0.4512 0.0854 0.5000
0.5000 0.5000 0.5000
0.5488 0.9146 0.5000
0.6789 0.3211 0.5000
0.7096 0.7096 0.5000
0.8684 0.1316 0.5000
0.9146 0.5488 0.5000
```

Most intense lines, 10° ≤ 2θ ≤ 90°, sorted by position:
d/Å  2theta  Rel. int.
3.499  25.5  34
2.665  33.6  37
2.617  34.3  100
2.593  34.6  84
2.502  35.9  49
2.494  36.0  87
2.302  39.1  36
1.487  62.4  36
1.454  64.0  28
1.449  64.3  31

---

Diffraction record for TbPm2Zn5. The powder XRD pattern is calculated, not measured: it uses a DFT-relaxed cell (PBE, Alexandria) and CuKα.
Lines closer than 0.1° are merged.

Atomic structure:
```
TbPm2Zn5
1.0
4.8642 0.0000 0.0000
0.0000 4.8642 0.0000
0.0000 0.0000 14.4883
Tb Pm Zn
2 4 10
direct
0.0000 0.0000 0.0000
0.5000 0.5000 0.5000
0.0000 0.0000 0.2684
0.0000 0.0000 0.7316
0.5000 0.5000 0.2316
0.5000 0.5000 0.7684
0.0000 0.0000 0.5000
0.0000 0.5000 0.1107
0.0000 0.5000 0.3893
0.0000 0.5000 0.6107
0.0000 0.5000 0.8893
0.5000 0.0000 0.1107
0.5000 0.0000 0.3893
0.5000 0.0000 0.6107
0.5000 0.0000 0.8893
0.5000 0.5000 0.0000
```

Most intense lines, 10° ≤ 2θ ≤ 90°, sorted by position:
d/Å  2theta  Rel. int.
3.433  26.0  25
2.494  36.0  100
2.432  37.0  52
1.905  47.8  7
1.720  53.3  18
1.499  61.9  6
1.453  64.1  12
1.416  66.0  33
1.247  76.4  7
1.093  89.7  7

---

Diffraction record for Tb12Pm3Zn. The powder XRD pattern is calculated, not measured: it uses a DFT-relaxed cell (PBE, Alexandria) and CuKα.
Lines closer than 0.1° are merged.

Atomic structure:
```
Tb12Pm3Zn
1.0
4.9876 0.0000 0.0000
0.0000 4.9876 0.0000
0.0000 0.0000 20.0823
Tb Pm Zn
12 3 1
direct
0.0000 0.0000 0.0000
0.0000 0.0000 0.2410
0.0000 0.0000 0.5000
0.0000 0.0000 0.7590
0.0000 0.5000 0.1164
0.0000 0.5000 0.3717
0.0000 0.5000 0.6283
0.0000 0.5000 0.8836
0.5000 0.0000 0.1164
0.5000 0.0000 0.3717
0.5000 0.0000 0.6283
0.5000 0.0000 0.8836
0.5000 0.5000 0.2448
0.5000 0.5000 0.5000
0.5000 0.5000 0.7552
0.5000 0.5000 0.0000
```

Most intense lines, 10° ≤ 2θ ≤ 90°, sorted by position:
d/Å  2theta  Rel. int.
2.886  31.0  100
2.510  35.8  16
2.494  36.0  34
1.769  51.7  22
1.763  51.8  12
1.512  61.3  12
1.505  61.6  28
1.443  64.6  11
1.148  84.4  10
1.145  84.7  6

---

Diffraction record for TbPm4Zn. The powder XRD pattern is calculated, not measured: it uses a DFT-relaxed cell (PBE, Alexandria) and CuKα.
Lines closer than 0.1° are merged.

Atomic structure:
```
TbPm4Zn
1.0
3.6424 0.0000 0.0000
0.0000 3.6424 0.0000
0.0000 0.0000 13.9172
Tb Pm Zn
1 4 1
direct
0.0000 0.0000 0.0000
0.0000 0.0000 0.3689
0.0000 0.0000 0.6311
0.5000 0.5000 0.1814
0.5000 0.5000 0.8186
0.5000 0.5000 0.5000
```

Most intense lines, 10° ≤ 2θ ≤ 90°, sorted by position:
d/Å  2theta  Rel. int.
3.227  27.6  16
2.865  31.2  100
2.783  32.2  10
2.576  34.8  45
1.890  48.1  13
1.821  50.1  16
1.724  53.1  12
1.570  58.8  13
1.537  60.2  31
1.189  80.8  10

---

Diffraction record for Tb2Pm3Zn3. The powder XRD pattern is calculated, not measured: it uses a DFT-relaxed cell (PBE, Alexandria) and CuKα.
Lines closer than 0.1° are merged.

Atomic structure:
```
Tb2Pm3Zn3
1.0
3.6749 0.0000 0.0000
0.0000 5.2914 0.0000
0.0000 0.0000 21.6984
Tb Pm Zn
4 6 6
direct
0.0000 0.0000 0.2297
0.0000 0.0000 0.7703
0.5000 0.5000 0.2703
0.5000 0.5000 0.7297
0.0000 0.0000 0.0000
0.0000 0.5000 0.1185
0.0000 0.5000 0.8815
0.5000 0.0000 0.3815
0.5000 0.0000 0.6185
0.5000 0.5000 0.5000
0.0000 0.0000 0.5000
0.0000 0.5000 0.3823
0.0000 0.5000 0.6177
0.5000 0.0000 0.1177
0.5000 0.0000 0.8823
0.5000 0.5000 0.0000
```

Most intense lines, 10° ≤ 2θ ≤ 90°, sorted by position:
d/Å  2theta  Rel. int.
3.356  26.6  17
2.712  33.0  20
2.646  33.9  28
2.638  34.0  100
1.894  48.0  14
1.837  49.6  9
1.551  59.6  9
1.526  60.7  19
1.509  61.4  10
1.319  71.6  9